[1]
For Sc4TcNi, DFT lattice parameters and positions (GGA-PBE) gives the calculated XRD peak list in this record (Cu Kα X-rays).
Kinematic intensities with the Lorentz-polarization factor, no thermal factor.

Structural model:
Cell lengths 3.274, 3.274, 11.009 Å; angles 90.00, 90.00, 90.00 degrees
Space group P4/mmm (No. 123)
Asymmetric unit:
Sc: 0.000 0.000 0.134 (multiplicity 2)
Sc: 0.500 0.500 0.363 (multiplicity 2)
Tc: 0.000 0.000 0.500 (multiplicity 1)
Ni: 0.500 0.500 0.000 (multiplicity 1)

Peak list (8 most intense, 2θ from 10° to 90°, sorted by position)
two_theta	d/Å	intensity	index
16.1	5.504	40	0 0 2
36.8	2.443	100	1 0 3
38.9	2.315	51	1 1 0
42.4	2.134	14	1 1 2
49.9	1.827	24	1 0 5
56.2	1.637	16	2 0 0
69.1	1.360	28	2 1 3
78.4	1.219	11	2 1 5

[2]
For HoNiHg, DFT lattice parameters and positions (GGA-PBE) gives the calculated XRD peak list in this record (Cu Kα X-rays).
Kinematic intensities with the Lorentz-polarization factor, no thermal factor.

Structural model:
Cell lengths 3.705, 16.800, 3.932 Å; angles 90.00, 90.00, 90.00 degrees
Space group Cmcm (No. 63)
Asymmetric unit:
Ho: 0.000 0.095 0.250 (multiplicity 4)
Ni: 0.000 0.459 0.250 (multiplicity 4)
Hg: 0.000 0.297 0.250 (multiplicity 4)

Peak list (8 most intense, 2θ from 10° to 90°, sorted by position)
two_theta	d/Å	intensity	index
31.2	2.870	40	0 4 1
33.7	2.663	100	1 1 1
36.1	2.489	66	1 5 0
39.5	2.281	39	0 6 1
46.2	1.966	21	0 0 2
49.2	1.853	19	2 0 0
60.0	1.543	33	1 5 2
64.8	1.438	18	2 6 1

[3]
For Pr2Sm5YSc, DFT lattice parameters and positions (GGA-PBE) gives the calculated XRD peak list in this record (Cu Kα X-rays).
Kinematic intensities with the Lorentz-polarization factor, no thermal factor.

Structural model:
Cell lengths 8.512, 8.512, 16.626 Å; angles 90.00, 90.00, 90.00 degrees
Space group I4/mcm (No. 140)
Asymmetric unit:
Pr: 0.123 0.377 0.000 (multiplicity 8)
Sm: 0.000 0.000 0.000 (multiplicity 4)
Sm: 0.216 0.284 0.355 (multiplicity 16)
Y: 0.000 0.000 0.250 (multiplicity 4)
Sc: 0.000 0.500 0.250 (multiplicity 4)

Peak list (8 most intense, 2θ from 10° to 90°, sorted by position)
two_theta	d/Å	intensity	index
28.4	3.138	70	2 1 3
29.7	3.009	54	2 2 0
30.1	2.974	100	2 0 4
32.3	2.771	18	0 0 6
33.3	2.692	22	3 1 0
38.5	2.337	19	3 2 1
47.0	1.933	24	4 1 3
52.9	1.731	24	4 2 4

[4]
For Y5Si2S2, DFT lattice parameters and positions (GGA-PBE) gives the calculated XRD peak list in this record (Cu Kα X-rays).
Kinematic intensities with the Lorentz-polarization factor, no thermal factor.

Structural model:
Cell lengths 14.274, 7.424, 7.520 Å; angles 90.00, 90.00, 90.00 degrees
Space group Cmce (No. 64)
Asymmetric unit:
Y: 0.000 0.000 0.000 (multiplicity 4)
Y: 0.139 0.170 0.337 (multiplicity 16)
Si: 0.000 0.124 0.624 (multiplicity 8)
S: 0.197 0.000 0.000 (multiplicity 8)

Peak list (8 most intense, 2θ from 10° to 90°, sorted by position)
two_theta	d/Å	intensity	index
26.8	3.328	56	0 2 1
27.3	3.265	39	1 1 2
32.7	2.741	100	3 1 2
34.7	2.588	37	4 0 2
34.9	2.573	44	4 2 0
36.9	2.434	72	4 2 1
38.4	2.343	50	1 1 3
38.8	2.319	52	1 3 1